# Cr3AgI
Computed X-ray powder pattern, CuKα. Input: a cell relaxed with GGA-PBE.
Lines closer than 0.1° are merged.

Most intense lines, 10° ≤ 2θ ≤ 80°, low angle first:
- 2θ = 17.26°, rel. 6.2
- 2θ = 24.50°, rel. 100.0
- 2θ = 30.12°, rel. 36.4
- 2θ = 34.92°, rel. 94.6
- 2θ = 43.12°, rel. 44.2
- 2θ = 50.21°, rel. 63.5
- 2θ = 56.64°, rel. 19.6
- 2θ = 59.67°, rel. 13.5
- 2θ = 62.62°, rel. 20.8
- 2θ = 68.29°, rel. 22.4
- 2θ = 73.75°, rel. 9.4
- 2θ = 79.05°, rel. 11.3

Crystal structure
```
5
Lattice="5.139 0.000 0.000 0.000 5.139 0.000 0.000 0.000 5.139" Properties=species:S:1:pos:R:3 pbc="T T T"
Cr 0.000 0.000 2.570
Cr 0.000 2.570 0.000
Cr 2.570 0.000 0.000
Ag 0.000 0.000 0.000
I 2.570 2.570 2.570
```